No. 1
The following is a computed X-ray diffraction stick pattern of TaPbSe2. It was derived from a DFT-relaxed cell (PBE, OQMD), using Cu Kα X-rays.
Peak positions follow from Bragg's law for the DFT cell and can differ from measured ones.

Structure:
Lattice parameters (Å, degrees): 3.4688 3.4688 18.4651 90.00 90.00 120.00
Fractional coordinates of all 8 atoms:
Ta1 0.3333 0.6667 0.0000
Ta2 0.6667 0.3333 0.5000
Pb1 0.3333 0.6667 0.2492
Pb2 0.6667 0.3333 0.7492
Se1 0.3333 0.6667 0.4100
Se2 0.3333 0.6667 0.5907
Se3 0.6667 0.3333 0.0907
Se4 0.6667 0.3333 0.9100

Principal peaks in the range 2θ = 15–90°, low angle first:
- 4.616 Å, 2θ 19.23, intensity 63
- 3.004 Å, 2θ 29.74, intensity 64
- 2.965 Å, 2θ 30.14, intensity 54
- 2.700 Å, 2θ 33.18, intensity 78
- 2.330 Å, 2θ 38.64, intensity 100
- 1.982 Å, 2θ 45.78, intensity 48
- 1.734 Å, 2θ 52.78, intensity 52
- 1.624 Å, 2θ 56.70, intensity 23
- 1.387 Å, 2θ 67.56, intensity 22
- 1.151 Å, 2θ 84.10, intensity 26

=====

No. 2
The following is a computed X-ray diffraction stick pattern of Ta4Te16PtI8. It was derived from a DFT-relaxed cell (PBE, OQMD), using Cu Kα X-rays.
Peak positions follow from Bragg's law for the DFT cell and can differ from measured ones.

Structure:
Lattice parameters (Å, degrees): 8.0814 13.0403 13.2400 78.93 74.91 81.25
Fractional coordinates of all 29 atoms:
Ta1 0.0086 0.2444 0.3995
Ta2 0.2461 0.6680 0.7243
Ta3 0.7539 0.3320 0.2757
Ta4 0.9914 0.7556 0.6005
Te1 0.0522 0.7990 0.3731
Te2 0.0609 0.4081 0.2374
Te3 0.1617 0.3501 0.5043
Te4 0.2039 0.5839 0.9525
Te5 0.2253 0.7948 0.8677
Te6 0.2890 0.8602 0.5830
Te7 0.3369 0.6807 0.4897
Te8 0.3647 0.3236 0.0491
Te9 0.6353 0.6764 0.9509
Te10 0.6631 0.3193 0.5103
Te11 0.7110 0.1398 0.4170
Te12 0.7747 0.2052 0.1323
Te13 0.7961 0.4161 0.0475
Te14 0.8383 0.6499 0.4957
Te15 0.9391 0.5919 0.7626
Te16 0.9478 0.2010 0.6269
Pt1 0.5000 0.5000 0.0000
I1 0.2119 0.0588 0.7194
I2 0.2297 0.0893 0.3206
I3 0.4706 0.4807 0.3006
I4 0.4765 0.7813 0.1232
I5 0.5235 0.2187 0.8768
I6 0.5294 0.5193 0.6994
I7 0.7703 0.9107 0.6794
I8 0.7881 0.9412 0.2806

Principal peaks in the range 2θ = 15–90°, low angle first:
- 3.989 Å, 2θ 22.29, intensity 72
- 3.866 Å, 2θ 23.00, intensity 68
- 3.066 Å, 2θ 29.12, intensity 57
- 3.027 Å, 2θ 29.51, intensity 100
- 3.011 Å, 2θ 29.67, intensity 61
- 2.661 Å, 2θ 33.68, intensity 64
- 2.338 Å, 2θ 38.50, intensity 59
- 2.322 Å, 2θ 38.79, intensity 59
- 2.310 Å, 2θ 38.99, intensity 55
- 2.170 Å, 2θ 41.62, intensity 49

=====

No. 3
The following is a computed X-ray diffraction stick pattern of Nd2ErMg3Pt3. It was derived from a DFT-relaxed cell (PBE, OQMD), using Cu Kα X-rays.
Peak positions follow from Bragg's law for the DFT cell and can differ from measured ones.

Structure:
Lattice parameters (Å, degrees): 4.1068 7.4587 7.4587 119.88 90.00 90.00
Fractional coordinates of all 9 atoms:
Nd1 0.0000 0.2067 0.7933
Nd2 0.0000 0.7933 0.2067
Er1 0.0000 0.6129 0.6129
Mg1 0.5000 0.2094 0.4491
Mg2 0.5000 0.4491 0.2094
Mg3 0.5000 0.9613 0.9613
Pt1 0.0000 0.2138 0.2138
Pt2 0.5000 0.5425 0.8632
Pt3 0.5000 0.8632 0.5425

Principal peaks in the range 2θ = 15–90°, low angle first:
- 3.732 Å, 2θ 23.84, intensity 54
- 3.466 Å, 2θ 25.70, intensity 29
- 2.762 Å, 2θ 32.42, intensity 65
- 2.539 Å, 2θ 35.34, intensity 100
- 2.154 Å, 2θ 41.93, intensity 39
- 2.100 Å, 2θ 43.08, intensity 38
- 2.053 Å, 2θ 44.10, intensity 23
- 1.866 Å, 2θ 48.81, intensity 15
- 1.486 Å, 2θ 62.48, intensity 24
- 1.394 Å, 2θ 67.15, intensity 17

=====

No. 4
The following is a computed X-ray diffraction stick pattern of BaCuTeIr. It was derived from a DFT-relaxed cell (PBE, OQMD), using Cu Kα X-rays.
Peak positions follow from Bragg's law for the DFT cell and can differ from measured ones.

Structure:
Lattice parameters (Å, degrees): 7.1305 7.1305 7.1305 90.00 90.00 90.00
Fractional coordinates of all 16 atoms:
Ba1 0.0000 0.0000 0.0000
Ba2 0.0000 0.5000 0.5000
Ba3 0.5000 0.0000 0.5000
Ba4 0.5000 0.5000 0.0000
Cu1 0.2500 0.2500 0.2500
Cu2 0.2500 0.7500 0.7500
Cu3 0.7500 0.2500 0.7500
Cu4 0.7500 0.7500 0.2500
Te1 0.0000 0.0000 0.5000
Te2 0.0000 0.5000 0.0000
Te3 0.5000 0.0000 0.0000
Te4 0.5000 0.5000 0.5000
Ir1 0.2500 0.2500 0.7500
Ir2 0.2500 0.7500 0.2500
Ir3 0.7500 0.2500 0.2500
Ir4 0.7500 0.7500 0.7500

Principal peaks in the range 2θ = 15–90°, low angle first:
- 4.117 Å, 2θ 21.59, intensity 13
- 2.521 Å, 2θ 35.61, intensity 100
- 2.150 Å, 2θ 42.03, intensity 7
- 1.783 Å, 2θ 51.25, intensity 18
- 1.636 Å, 2θ 56.23, intensity 3
- 1.456 Å, 2θ 63.96, intensity 36
- 1.372 Å, 2θ 68.36, intensity 2
- 1.261 Å, 2θ 75.41, intensity 11
- 1.205 Å, 2θ 79.53, intensity 2
- 1.127 Å, 2θ 86.28, intensity 16

=====

No. 5
The following is a computed X-ray diffraction stick pattern of NiTeMo2. It was derived from a DFT-relaxed cell (PBE, OQMD), using Cu Kα X-rays.
Peak positions follow from Bragg's law for the DFT cell and can differ from measured ones.

Structure:
Lattice parameters (Å, degrees): 6.3518 6.3518 6.3518 90.00 90.00 90.00
Fractional coordinates of all 16 atoms:
Ni1 0.0000 0.0000 0.0000
Ni2 0.0000 0.5000 0.5000
Ni3 0.5000 0.0000 0.5000
Ni4 0.5000 0.5000 0.0000
Te1 0.2500 0.2500 0.7500
Te2 0.2500 0.7500 0.2500
Te3 0.7500 0.2500 0.2500
Te4 0.7500 0.7500 0.7500
Mo1 0.0000 0.0000 0.5000
Mo2 0.0000 0.5000 0.0000
Mo3 0.2500 0.2500 0.2500
Mo4 0.2500 0.7500 0.7500
Mo5 0.5000 0.0000 0.0000
Mo6 0.5000 0.5000 0.5000
Mo7 0.7500 0.2500 0.7500
Mo8 0.7500 0.7500 0.2500

Principal peaks in the range 2θ = 15–90°, low angle first:
- 3.667 Å, 2θ 24.27, intensity 3
- 3.176 Å, 2θ 28.10, intensity 3
- 2.246 Å, 2θ 40.15, intensity 100
- 1.915 Å, 2θ 47.47, intensity 1
- 1.834 Å, 2θ 49.72, intensity 1
- 1.588 Å, 2θ 58.09, intensity 16
- 1.457 Å, 2θ 63.88, intensity 1
- 1.420 Å, 2θ 65.75, intensity 1
- 1.297 Å, 2θ 72.97, intensity 33
- 1.123 Å, 2θ 86.72, intensity 11

=====

No. 6
The following is a computed X-ray diffraction stick pattern of TmCuGeSe3. It was derived from a DFT-relaxed cell (PBE, OQMD), using Cu Kα X-rays.
Peak positions follow from Bragg's law for the DFT cell and can differ from measured ones.

Structure:
Lattice parameters (Å, degrees): 9.2693 9.2693 7.8877 102.97 102.97 24.25
Fractional coordinates of all 12 atoms:
Tm1 0.1615 0.1615 0.0843
Tm2 0.8385 0.8385 0.9157
Cu1 0.4597 0.4597 0.7879
Cu2 0.5403 0.5403 0.2121
Ge1 0.1178 0.1178 0.5598
Ge2 0.8822 0.8822 0.4402
Se1 0.0000 0.0000 0.0000
Se2 0.3246 0.3246 0.1644
Se3 0.3247 0.3247 0.6549
Se4 0.5000 0.5000 0.5000
Se5 0.6753 0.6753 0.3451
Se6 0.6754 0.6754 0.8356

Principal peaks in the range 2θ = 15–90°, low angle first:
- 5.227 Å, 2θ 16.96, intensity 20
- 2.984 Å, 2θ 29.94, intensity 16
- 2.940 Å, 2θ 30.40, intensity 41
- 2.771 Å, 2θ 32.31, intensity 100
- 2.356 Å, 2θ 38.21, intensity 50
- 2.024 Å, 2θ 44.77, intensity 17
- 2.008 Å, 2θ 45.16, intensity 23
- 1.972 Å, 2θ 46.03, intensity 21
- 1.947 Å, 2θ 46.65, intensity 29
- 1.629 Å, 2θ 56.49, intensity 15

=====

No. 7
The following is a computed X-ray diffraction stick pattern of TaInF6. It was derived from a DFT-relaxed cell (PBE, OQMD), using Cu Kα X-rays.
Peak positions follow from Bragg's law for the DFT cell and can differ from measured ones.

Structure:
Lattice parameters (Å, degrees): 5.0693 5.0716 5.7575 90.28 115.83 119.81
Fractional coordinates of all 8 atoms:
Ta1 0.0000 0.0000 0.0000
In1 0.0000 0.5000 0.5000
F1 0.1887 0.1603 0.7715
F2 0.2544 0.4194 0.2238
F3 0.3899 0.9725 0.2237
F4 0.6101 0.0275 0.7763
F5 0.7456 0.5806 0.7762
F6 0.8113 0.8397 0.2285

Principal peaks in the range 2θ = 15–90°, low angle first:
- 4.216 Å, 2θ 21.07, intensity 19
- 3.793 Å, 2θ 23.45, intensity 100
- 3.771 Å, 2θ 23.59, intensity 49
- 2.846 Å, 2θ 31.44, intensity 64
- 2.836 Å, 2θ 31.54, intensity 32
- 2.539 Å, 2θ 35.35, intensity 28
- 2.108 Å, 2θ 42.90, intensity 44
- 1.779 Å, 2θ 51.36, intensity 25
- 1.770 Å, 2θ 51.63, intensity 19
- 1.624 Å, 2θ 56.69, intensity 17

=====

No. 8
The following is a computed X-ray diffraction stick pattern of Sc5In4Cu2. It was derived from a DFT-relaxed cell (PBE, OQMD), using Cu Kα X-rays.
Peak positions follow from Bragg's law for the DFT cell and can differ from measured ones.

Structure:
Lattice parameters (Å, degrees): 17.2856 6.7995 7.6531 90.00 90.00 90.00
Fractional coordinates of all 44 atoms:
Sc1 0.0011 0.2500 0.0002
Sc2 0.0776 0.7500 0.3714
Sc3 0.0838 0.2500 0.3794
Sc4 0.2169 0.2500 0.7474
Sc5 0.2214 0.7500 0.7667
Sc6 0.2786 0.2500 0.2667
Sc7 0.2831 0.7500 0.2474
Sc8 0.4162 0.7500 0.8794
Sc9 0.4224 0.2500 0.8714
Sc10 0.4989 0.7500 0.5002
Sc11 0.5011 0.2500 0.4998
Sc12 0.5776 0.7500 0.1286
Sc13 0.5838 0.2500 0.1206
Sc14 0.7169 0.2500 0.7526
Sc15 0.7214 0.7500 0.7333
Sc16 0.7786 0.2500 0.2333
Sc17 0.7831 0.7500 0.2526
Sc18 0.9162 0.7500 0.6206
Sc19 0.9224 0.2500 0.6286
Sc20 0.9989 0.7500 0.9998
In1 0.0685 0.5061 0.7046
In2 0.0685 0.9939 0.7046
In3 0.1510 0.0005 0.0788
In4 0.1510 0.4995 0.0788
In5 0.3490 0.5005 0.5788
In6 0.3490 0.9995 0.5788
In7 0.4315 0.0061 0.2046
In8 0.4315 0.4939 0.2046
In9 0.5685 0.5061 0.7954
In10 0.5685 0.9939 0.7954
In11 0.6510 0.0005 0.4212
In12 0.6510 0.4995 0.4212
In13 0.8490 0.5005 0.9212
In14 0.8490 0.9995 0.9212
In15 0.9315 0.0061 0.2954
In16 0.9315 0.4939 0.2954
Cu1 0.1958 0.5232 0.4681
Cu2 0.1958 0.9768 0.4681
Cu3 0.3042 0.0232 0.9681
Cu4 0.3042 0.4768 0.9681
Cu5 0.6958 0.5232 0.0319
Cu6 0.6958 0.9768 0.0319
Cu7 0.8042 0.0232 0.5319
Cu8 0.8042 0.4768 0.5319

Principal peaks in the range 2θ = 15–90°, low angle first:
- 3.763 Å, 2θ 23.64, intensity 25
- 3.400 Å, 2θ 26.21, intensity 36
- 2.523 Å, 2θ 35.59, intensity 100
- 2.514 Å, 2θ 35.71, intensity 21
- 2.447 Å, 2θ 36.73, intensity 48
- 2.438 Å, 2θ 36.86, intensity 64
- 2.350 Å, 2θ 38.30, intensity 38
- 2.325 Å, 2θ 38.72, intensity 30
- 2.302 Å, 2θ 39.14, intensity 30
- 1.700 Å, 2θ 53.94, intensity 21